Diffraction record for RbV4Cd3O12. The X-ray powder pattern is calculated, not measured: it uses a cell relaxed with PBE+U and Cu Kα.

Top 10 peaks for 10 to 90 degrees two-theta, low angle first:
- (1 1 0), d = 6.075 Å, 2θ 14.58, intensity 31
- (3 0 0), d = 3.507 Å, 2θ 25.39, intensity 26
- (2 1 1), d = 3.458 Å, 2θ 25.76, intensity 67
- (2 2 0), d = 3.038 Å, 2θ 29.40, intensity 47
- (2 0 2), d = 2.914 Å, 2θ 30.68, intensity 100
- (1 3 1), d = 2.694 Å, 2θ 33.26, intensity 48
- (3 1 2), d = 2.242 Å, 2θ 40.23, intensity 31
- (5 0 2), d = 1.804 Å, 2θ 50.61, intensity 24
- (5 2 0), d = 1.685 Å, 2θ 54.46, intensity 41
- (0 2 4), d = 1.661 Å, 2θ 55.30, intensity 26

a = 12.1503 Å, b = 12.1503 Å, c = 7.0011 Å
α = 90.00°, β = 90.00°, γ = 120.00°
Space group R32 (No. 155, hexagonal axes)
Inequivalent atoms, fractional coordinates:
Rb 0.0000 0.0000 0.0000 (multiplicity 3)
V 0.0000 0.0000 0.5000 (multiplicity 3)
V 0.0000 0.4259 0.5000 (multiplicity 9)
Cd 0.0000 0.5666 0.0000 (multiplicity 9)
O 0.0000 0.5708 0.5000 (multiplicity 9)
O 0.0000 0.8576 0.5000 (multiplicity 9)
O 0.0615 0.4634 0.8022 (multiplicity 18)